# 1
This entry pairs a crystal structure of Pr3InSb4 with its calculated X-ray diffraction stick pattern. Radiation: Cu Kα X-rays. Structure: a PBE-relaxed structure.

Structure:
Cell lengths 6.4273, 6.4273, 6.4273 Å; angles 90.00, 90.00, 90.00 degrees
Space group Pm-3m (No. 221)
Asymmetric unit:
Pr 0.0000 0.0000 0.5000 x3
In 0.5000 0.5000 0.5000 x1
Sb 0.0000 0.0000 0.0000 x1
Sb 0.0000 0.5000 0.5000 x3

Largest 7 diffraction maxima, by intensity, 10 to 80 degrees two-theta:
27.76°, I 100.0, hkl 2 0 0
39.66°, I 76.7, hkl 2 2 0
64.88°, I 35.2, hkl 4 2 0
49.10°, I 27.4, hkl 2 2 2
71.98°, I 25.9, hkl 4 2 2
57.34°, I 12.8, hkl 4 0 0
23.98°, I 0.6, hkl 1 1 1

---

# 2
This entry pairs a crystal structure of Pr2Sc3In4 with its calculated X-ray diffraction stick pattern. Radiation: Cu Kα X-rays. Structure: a PBE-relaxed structure.

Structure:
Cell lengths 6.7370, 16.6635, 8.6927 Å; angles 90.00, 90.00, 90.00 degrees
Space group Cmce (No. 64)
Asymmetric unit:
Pr 0.0000 0.1091 0.0844 x8
Sc 0.0000 0.0000 0.5000 x4
Sc 0.2500 0.2226 0.7500 x8
In 0.0000 0.1799 0.4627 x8
In 0.2500 0.0466 0.7500 x8

Largest 10 diffraction maxima, by intensity, 10 to 80 degrees two-theta:
33.66°, I 100.0, hkl 2 0 2
31.67°, I 98.6, hkl 1 5 1
32.72°, I 64.6, hkl 0 2 3
30.41°, I 59.9, hkl 2 2 1
29.27°, I 33.8, hkl 1 3 2
34.23°, I 33.0, hkl 2 4 0
33.88°, I 30.6, hkl 0 6 1
50.09°, I 26.7, hkl 3 5 1
53.16°, I 22.6, hkl 2 6 3
29.71°, I 21.7, hkl 0 4 2

---

# 3
This entry pairs a crystal structure of PrSmScIn with its calculated X-ray diffraction stick pattern. Radiation: Cu Kα X-rays. Structure: a PBE-relaxed structure.

Structure:
Cell lengths 4.8103, 4.8103, 9.7370 Å; angles 90.00, 90.00, 90.00 degrees
Space group P4/nmm (No. 129, origin choice 2)
Asymmetric unit:
Pr 0.2500 0.7500 0.0000 x2
Sm 0.2500 0.2500 0.2598 x2
Sc 0.2500 0.7500 0.5000 x2
In 0.2500 0.2500 0.7203 x2

Largest 10 diffraction maxima, by intensity, 10 to 80 degrees two-theta:
32.10°, I 100.0, hkl 1 1 2
37.39°, I 34.3, hkl 2 0 0
64.14°, I 26.4, hkl 3 1 2
53.56°, I 20.3, hkl 2 0 4
36.93°, I 15.1, hkl 0 0 4
27.78°, I 11.9, hkl 1 1 1
53.91°, I 11.7, hkl 2 2 0
67.14°, I 10.2, hkl 2 2 4
63.52°, I 9.8, hkl 1 1 6
27.48°, I 6.5, hkl 0 0 3

---

# 4
This entry pairs a crystal structure of PrIn2Se4 with its calculated X-ray diffraction stick pattern. Radiation: Cu Kα X-rays. Structure: a PBE-relaxed structure.

Structure:
Cell lengths 6.0493, 6.0493, 6.7350 Å; angles 90.00, 90.00, 90.00 degrees
Space group P-42m (No. 111)
Asymmetric unit:
Pr 0.0000 0.0000 0.0000 x1
In 0.0000 0.5000 0.5000 x2
Se 0.2693 0.2693 0.2559 x4

Largest 10 diffraction maxima, by intensity, 10 to 80 degrees two-theta:
24.66°, I 100.0, hkl 1 1 1
40.07°, I 53.6, hkl 2 0 2
49.54°, I 28.0, hkl 3 1 1
42.26°, I 22.4, hkl 2 2 0
45.64°, I 18.7, hkl 1 1 3
19.73°, I 14.5, hkl 1 0 1
75.79°, I 14.4, hkl 4 2 2
63.94°, I 12.7, hkl 3 1 3
71.28°, I 9.2, hkl 2 2 4
35.77°, I 8.0, hkl 2 1 1

---

# 5
This entry pairs a crystal structure of Pr7InSe5 with its calculated X-ray diffraction stick pattern. Radiation: Cu Kα X-rays. Structure: a PBE-relaxed structure.

Structure:
Cell lengths 14.1410, 4.2418, 25.4850 Å; angles 90.00, 90.02, 90.00 degrees
Space group C2/m (No. 12)
Asymmetric unit:
Pr 0.0212 0.0000 0.2500 x4
Pr 0.0911 0.5000 0.1115 x4
Pr 0.0908 0.5000 0.3885 x4
Pr 0.1373 0.0000 0.5361 x4
Pr 0.1372 0.0000 0.9640 x4
Pr 0.1839 0.5000 0.6760 x4
Pr 0.1835 0.5000 0.8241 x4
In 0.1927 0.5000 0.2499 x4
Se 0.0000 0.5000 0.0000 x2
Se 0.0000 0.5000 0.5000 x2
Se 0.0489 0.0000 0.6412 x4
Se 0.0486 0.0000 0.8588 x4
Se 0.2252 0.0000 0.0712 x4
Se 0.2251 0.0000 0.4288 x4

Largest 10 diffraction maxima, by intensity, 10 to 80 degrees two-theta:
29.18°, I 100.0, hkl 3 1 2
27.56°, I 74.3, hkl 2 0 7
30.23°, I 64.0, hkl 3 1 -3
42.28°, I 55.1, hkl 6 0 5
42.63°, I 36.5, hkl 0 2 0
30.78°, I 31.6, hkl 2 0 8
38.76°, I 29.3, hkl 1 1 9
51.52°, I 26.3, hkl 2 2 7
41.84°, I 25.5, hkl 1 1 -10
40.85°, I 22.4, hkl 6 0 4

---

# 6
This entry pairs a crystal structure of Pr3InSe6 with its calculated X-ray diffraction stick pattern. Radiation: Cu Kα X-rays. Structure: a PBE-relaxed structure.

Structure:
Cell lengths 14.5377, 17.7556, 4.1732 Å; angles 90.00, 90.00, 90.00 degrees
Space group Pnnm (No. 58)
Asymmetric unit:
Pr 0.0401 0.2236 0.0000 x4
Pr 0.1878 0.6449 0.0000 x4
Pr 0.2483 0.8940 0.5000 x4
In 0.0000 0.0000 0.5000 x2
In 0.0000 0.5000 0.5000 x2
Se 0.0225 0.3972 0.0000 x4
Se 0.0944 0.9147 0.0000 x4
Se 0.1110 0.1151 0.5000 x4
Se 0.1126 0.7479 0.5000 x4
Se 0.1814 0.2845 0.5000 x4
Se 0.1900 0.5187 0.5000 x4

Largest 10 diffraction maxima, by intensity, 10 to 80 degrees two-theta:
32.09°, I 100.0, hkl 3 3 1
33.12°, I 82.8, hkl 0 5 1
43.36°, I 72.5, hkl 0 0 2
31.20°, I 71.6, hkl 5 1 0
30.01°, I 65.5, hkl 1 4 1
23.48°, I 48.2, hkl 2 4 0
38.06°, I 43.2, hkl 5 1 1
31.90°, I 40.6, hkl 2 4 1
41.65°, I 39.4, hkl 0 7 1
28.91°, I 36.3, hkl 2 3 1

---

# 7
This entry pairs a crystal structure of Pr3UIn3Se8 with its calculated X-ray diffraction stick pattern. Radiation: Cu Kα X-rays. Structure: a PBE-relaxed structure.

Structure:
Cell lengths 8.5630, 8.5630, 23.2111 Å; angles 90.00, 90.00, 120.00 degrees
Space group R-3m (No. 166, hexagonal axes)
Asymmetric unit:
Pr 0.0000 0.5000 0.0000 x9
U 0.0000 0.0000 0.0000 x3
In 0.0000 0.5000 0.5000 x9
Se 0.0000 0.0000 0.2609 x6
Se 0.0163 0.5082 0.7362 x18

Largest 10 diffraction maxima, by intensity, 10 to 80 degrees two-theta:
28.57°, I 100.0, hkl 0 2 4
42.21°, I 37.1, hkl 2 2 0
39.44°, I 36.9, hkl 2 0 8
11.44°, I 22.3, hkl 0 0 3
51.77°, I 18.6, hkl 4 0 4
68.93°, I 15.4, hkl 2 4 4
12.53°, I 14.5, hkl 1 0 1
64.98°, I 13.5, hkl 2 2 12
59.14°, I 11.0, hkl 0 4 8
75.31°, I 10.6, hkl 4 2 8